This entry pairs a crystal structure of TmB4Ru4 with its computed XRD peak list. Radiation: Cu Kα (λ = 1.5418 Å). Structure: a crystal structure in the Materials Project, relaxed with PBE.
No peak broadening, texture or thermal motion is included.

Crystal structure
a b c (Å): 9.1949 9.1949 9.1949
angles (deg): 132.06 132.06 70.13
Element x y z (fractional)
Tm1 0.1250 0.3750 0.7500
Tm2 0.3750 0.1250 0.2500
Tm3 0.6250 0.8750 0.7500
Tm4 0.8750 0.6250 0.2500
B1 0.0660 0.1251 0.2778
B2 0.1251 0.3473 0.0591
B3 0.1527 0.3749 0.4409
B4 0.2118 0.9340 0.5591
B5 0.2882 0.8473 0.7222
B6 0.3473 0.7882 0.2222
B7 0.3749 0.4340 0.2222
B8 0.4340 0.7118 0.0591
B9 0.5660 0.2882 0.9409
B10 0.6251 0.5660 0.7778
B11 0.6527 0.2118 0.7778
B12 0.7118 0.1527 0.2778
B13 0.7882 0.0660 0.4409
B14 0.8473 0.6251 0.5591
B15 0.8749 0.6527 0.9409
B16 0.9340 0.8749 0.7222
Ru1 0.0379 0.8209 0.9850
Ru2 0.0530 0.0379 0.7170
Ru3 0.1641 0.6791 0.7170
Ru4 0.1791 0.6641 0.2170
Ru5 0.3209 0.5379 0.4850
Ru6 0.3359 0.0530 0.5150
Ru7 0.4470 0.1641 0.9850
Ru8 0.4621 0.4470 0.7830
Ru9 0.5379 0.5530 0.2170
Ru10 0.5530 0.8359 0.0150
Ru11 0.6641 0.9470 0.4850
Ru12 0.6791 0.4621 0.5150
Ru13 0.8209 0.3359 0.7830
Ru14 0.8359 0.3209 0.2830
Ru15 0.9470 0.9621 0.2830
Ru16 0.9621 0.1791 0.0150

Top 10 peaks for 2θ = 10–90°, in order of falling intensity:
2θ/deg	d (Å)	I (rel.)
40.00	2.254	100
32.19	2.781	57
39.78	2.266	43
40.33	2.236	35
71.13	1.326	25
33.81	2.651	22
54.93	1.671	14
64.83	1.438	13
64.67	1.441	13
23.82	3.735	12

This entry pairs a crystal structure of TmB4Ru with its computed XRD peak list. Radiation: Cu Kα (λ = 1.5418 Å). Structure: a crystal structure in the Materials Project, relaxed with PBE.
No peak broadening, texture or thermal motion is included.

Crystal structure
a b c (Å): 5.9232 11.4535 3.5300
angles (deg): 90.00 90.00 90.00
Element x y z (fractional)
Tm1 0.1293 0.1498 0.0000
Tm2 0.3707 0.6498 0.0000
Tm3 0.6293 0.3502 0.0000
Tm4 0.8707 0.8502 0.0000
B1 0.0235 0.6925 0.5000
B2 0.1126 0.5472 0.5000
B3 0.1352 0.9700 0.5000
B4 0.2093 0.8141 0.5000
B5 0.2907 0.3140 0.5000
B6 0.3648 0.4700 0.5000
B7 0.3874 0.0472 0.5000
B8 0.4765 0.1925 0.5000
B9 0.5235 0.8075 0.5000
B10 0.6126 0.9528 0.5000
B11 0.6352 0.5300 0.5000
B12 0.7093 0.6859 0.5000
B13 0.7907 0.1860 0.5000
B14 0.8648 0.0300 0.5000
B15 0.8874 0.4528 0.5000
B16 0.9765 0.3075 0.5000
Ru1 0.1413 0.4070 0.0000
Ru2 0.3587 0.9070 0.0000
Ru3 0.6413 0.0930 0.0000
Ru4 0.8587 0.5930 0.0000

Top 10 peaks for 2θ = 10–90°, in order of falling intensity:
2θ/deg	d (Å)	I (rel.)
40.55	2.225	100
31.21	2.866	84
25.23	3.530	76
46.56	1.950	26
61.72	1.503	24
43.47	2.082	24
37.89	2.374	20
38.47	2.340	19
27.80	3.209	18
34.80	2.578	18

This entry pairs a crystal structure of TmB2Ru with its computed XRD peak list. Radiation: Cu Kα (λ = 1.5418 Å). Structure: a crystal structure in the Materials Project, relaxed with PBE.
No peak broadening, texture or thermal motion is included.

Crystal structure
a b c (Å): 5.8578 5.2866 6.3144
angles (deg): 90.00 90.00 90.00
Element x y z (fractional)
Tm1 0.0113 0.2500 0.1644
Tm2 0.4887 0.7500 0.6644
Tm3 0.5113 0.2500 0.3356
Tm4 0.9887 0.7500 0.8356
B1 0.1331 0.5839 0.4633
B2 0.1331 0.9161 0.4633
B3 0.3669 0.0839 0.9633
B4 0.3669 0.4161 0.9633
B5 0.6331 0.5839 0.0367
B6 0.6331 0.9161 0.0367
B7 0.8669 0.0839 0.5367
B8 0.8669 0.4161 0.5367
Ru1 0.1819 0.2500 0.6818
Ru2 0.3181 0.7500 0.1818
Ru3 0.6819 0.2500 0.8182
Ru4 0.8181 0.7500 0.3182

Top 10 peaks for 2θ = 10–90°, in order of falling intensity:
2θ/deg	d (Å)	I (rel.)
37.90	2.374	100
36.53	2.460	88
33.91	2.643	56
28.27	3.157	23
63.33	1.469	22
75.53	1.259	22
63.52	1.465	19
44.71	2.027	18
62.40	1.488	17
20.68	4.294	17